The following is a theoretical PXRD pattern of Fe5CuRh6. It was derived from a PBE-relaxed structure, using Cu Kα (weighted mean of Kα1 and Kα2).
Neutral-atom scattering factors, no anomalous dispersion.

Structural model:
```
Fe5CuRh6
1.0
2.133 -6.393 0.000
2.133 6.393 0.000
0.000 0.000 6.001
Fe Cu Rh
5 1 6
Direct
0.000 0.000 0.000
0.333 0.667 0.000
0.338 0.662 0.500
0.662 0.338 0.500
0.667 0.333 0.000
0.000 0.000 0.500
0.169 0.831 0.250
0.169 0.831 0.750
0.500 0.500 0.246
0.500 0.500 0.754
0.831 0.169 0.250
0.831 0.169 0.750
```

Peak list (10 most intense, 15 to 90 degrees two-theta, by angle)
| 2θ (°) | I (rel.) |
| --- | --- |
| 29.63 | 10 |
| 29.77 | 5 |
| 42.40 | 50 |
| 42.51 | 100 |
| 52.67 | 4 |
| 61.52 | 16 |
| 61.84 | 8 |
| 69.79 | 4 |
| 77.63 | 31 |
| 77.85 | 15 |


The following is a theoretical PXRD pattern of Fe2CuRh2. It was derived from a PBE-relaxed structure, using Cu Kα (weighted mean of Kα1 and Kα2).
Neutral-atom scattering factors, no anomalous dispersion.

Structural model:
```
Fe2CuRh2
1.0
7.076 0.000 0.000
0.000 7.076 0.000
0.000 0.000 2.815
Fe Cu Rh
4 2 4
Direct
0.143 0.357 0.000
0.357 0.857 0.000
0.643 0.143 0.000
0.857 0.643 0.000
0.000 0.000 0.000
0.500 0.500 0.000
0.155 0.655 0.500
0.345 0.155 0.500
0.655 0.845 0.500
0.845 0.345 0.500
```

Peak list (10 most intense, 15 to 90 degrees two-theta, by angle)
| 2θ (°) | I (rel.) |
| --- | --- |
| 28.20 | 13 |
| 36.63 | 10 |
| 40.30 | 60 |
| 40.97 | 13 |
| 43.00 | 100 |
| 51.67 | 8 |
| 55.06 | 10 |
| 63.48 | 12 |
| 66.41 | 8 |
| 80.67 | 36 |


The following is a theoretical PXRD pattern of Fe2CuRu. It was derived from a PBE-relaxed structure, using Cu Kα (weighted mean of Kα1 and Kα2).
Neutral-atom scattering factors, no anomalous dispersion.

Structural model:
```
Fe2CuRu
1.0
-1.839 1.839 3.606
1.839 -1.839 3.606
1.839 1.839 -3.606
Fe Cu Ru
2 1 1
Direct
0.000 0.000 0.000
0.750 0.250 0.500
0.500 0.500 0.000
0.250 0.750 0.500
```

Peak list (10 most intense, 15 to 90 degrees two-theta, by angle)
| 2θ (°) | I (rel.) |
| --- | --- |
| 27.22 | 8 |
| 42.87 | 100 |
| 45.05 | 2 |
| 49.57 | 32 |
| 50.63 | 15 |
| 57.47 | 2 |
| 72.72 | 9 |
| 73.57 | 18 |
| 88.29 | 22 |
| 89.91 | 11 |


The following is a theoretical PXRD pattern of FeCu2Ru. It was derived from a PBE-relaxed structure, using Cu Kα (weighted mean of Kα1 and Kα2).
Neutral-atom scattering factors, no anomalous dispersion.

Structural model:
```
FeCu2Ru
1.0
2.643 0.000 0.000
0.000 2.643 0.000
0.000 0.000 7.112
Fe Cu Ru
1 2 1
Direct
0.000 0.000 0.000
0.000 0.000 0.507
0.500 0.500 0.751
0.500 0.500 0.235
```

Peak list (10 most intense, 15 to 90 degrees two-theta, by angle)
| 2θ (°) | I (rel.) |
| --- | --- |
| 25.04 | 3 |
| 33.92 | 2 |
| 36.26 | 3 |
| 42.62 | 100 |
| 48.73 | 34 |
| 51.39 | 14 |
| 63.01 | 1 |
| 71.38 | 10 |
| 73.52 | 17 |
| 86.84 | 23 |


The following is a theoretical PXRD pattern of Fe2CuRu. It was derived from a PBE-relaxed structure, using Cu Kα (weighted mean of Kα1 and Kα2).
Neutral-atom scattering factors, no anomalous dispersion.

Structural model:
```
Fe2CuRu
1.0
1.300 0.751 8.512
-1.300 0.751 8.512
0.000 -1.501 8.512
Fe Cu Ru
2 1 1
Direct
0.249 0.249 0.249
0.751 0.751 0.751
0.500 0.500 0.500
0.000 0.000 0.000
```

Peak list (10 most intense, 15 to 90 degrees two-theta, by angle)
| 2θ (°) | I (rel.) |
| --- | --- |
| 20.87 | 5 |
| 40.20 | 1 |
| 40.68 | 3 |
| 42.55 | 100 |
| 49.54 | 47 |
| 54.32 | 1 |
| 72.60 | 14 |
| 72.73 | 14 |
| 87.91 | 8 |
| 88.05 | 25 |


The following is a theoretical PXRD pattern of FeCu2Ru. It was derived from a PBE-relaxed structure, using Cu Kα (weighted mean of Kα1 and Kα2).
Neutral-atom scattering factors, no anomalous dispersion.

Structural model:
```
FeCu2Ru
1.0
0.000 2.944 2.944
2.944 0.000 2.944
2.944 2.944 0.000
Fe Cu Ru
1 2 1
Direct
0.000 0.000 0.000
0.500 0.500 0.500
0.750 0.750 0.750
0.250 0.250 0.250
```

Peak list (10 most intense, 15 to 90 degrees two-theta, by angle)
| 2θ (°) | I (rel.) |
| --- | --- |
| 26.22 | 4 |
| 30.37 | 3 |
| 43.48 | 100 |
| 51.48 | 2 |
| 53.95 | 1 |
| 63.17 | 15 |
| 69.61 | 1 |
| 71.69 | 1 |
| 79.81 | 30 |
| 85.75 | 1 |


The following is a theoretical PXRD pattern of FeCuRu. It was derived from a PBE-relaxed structure, using Cu Kα (weighted mean of Kα1 and Kα2).
Neutral-atom scattering factors, no anomalous dispersion.

Structural model:
```
FeCuRu
1.0
2.627 0.000 0.000
0.000 3.587 0.000
0.000 0.000 7.941
Fe Cu Ru
2 2 2
Direct
0.250 0.250 0.084
0.750 0.750 0.916
0.250 0.250 0.421
0.750 0.750 0.579
0.250 0.250 0.764
0.750 0.750 0.236
```

Peak list (10 most intense, 15 to 90 degrees two-theta, by angle)
| 2θ (°) | I (rel.) |
| --- | --- |
| 27.28 | 10 |
| 42.44 | 98 |
| 42.67 | 100 |
| 48.85 | 64 |
| 50.92 | 29 |
| 71.26 | 9 |
| 71.89 | 10 |
| 73.24 | 36 |
| 86.75 | 20 |
| 87.20 | 22 |


The following is a theoretical PXRD pattern of FeCuRu. It was derived from a PBE-relaxed structure, using Cu Kα (weighted mean of Kα1 and Kα2).
Neutral-atom scattering factors, no anomalous dispersion.

Structural model:
```
FeCuRu
1.0
-1.306 1.840 3.916
1.306 -1.840 3.916
1.306 1.840 -3.916
Fe Cu Ru
1 1 1
Direct
0.000 0.000 0.000
0.334 0.334 0.000
0.663 0.663 0.000
```

Peak list (10 most intense, 15 to 90 degrees two-theta, by angle)
| 2θ (°) | I (rel.) |
| --- | --- |
| 22.71 | 4 |
| 26.76 | 5 |
| 36.26 | 2 |
| 42.44 | 100 |
| 49.36 | 32 |
| 49.53 | 16 |
| 72.38 | 9 |
| 72.52 | 19 |
| 87.67 | 22 |
| 87.93 | 11 |